(1)
La4PuNp3N8: theoretical powder diffraction line list (Cu Kα X-rays), based on a cell relaxed with GGA-PBE.

Crystal structure
abc: 7.1350 7.1350 7.1859
angles: 119.88 119.88 59.64
Atoms (fractional coordinates):
La 0.0000 0.0000 0.0000
La 0.0000 0.5000 0.0000
La 0.5000 0.0000 0.0000
La 0.5000 0.5000 0.0000
Pu 0.0000 0.0000 0.5000
Np 0.0000 0.5000 0.5000
Np 0.5000 0.0000 0.5000
Np 0.5000 0.5000 0.5000
N 0.2392 0.7251 0.7037
N 0.2419 0.2419 0.7069
N 0.2636 0.2636 0.2936
N 0.2749 0.7608 0.2963
N 0.7251 0.2392 0.7037
N 0.7364 0.7364 0.7064
N 0.7581 0.7581 0.2931
N 0.7608 0.2749 0.2963

Peak list (12 most intense, 15° ≤ 2θ ≤ 90°, sorted by position)
d_spacing, I/Imax
5.884, 23
2.942, 53
2.921, 51
2.907, 100
2.534, 46
2.525, 91
1.794, 48
1.784, 32
1.774, 16
1.532, 26
1.525, 39
1.453, 16

(2)
La4NO4: theoretical powder diffraction line list (Cu Kα X-rays), based on a cell relaxed with GGA-PBE.

Crystal structure
abc: 6.8679 6.8679 6.8679
angles: 129.53 129.53 74.15
Atoms (fractional coordinates):
La 0.1566 0.1566 0.5552
La 0.3986 0.8434 0.0000
La 0.6014 0.6014 0.4448
La 0.8434 0.3986 0.0000
N 0.5000 0.5000 0.0000
O 0.0000 0.5000 0.5000
O 0.2317 0.2317 0.0000
O 0.5000 0.0000 0.5000
O 0.7683 0.7683 0.0000

Peak list (12 most intense, 15° ≤ 2θ ≤ 90°, sorted by position)
d_spacing, I/Imax
5.165, 7
3.303, 100
2.928, 24
2.740, 12
2.547, 7
2.070, 15
2.000, 29
1.754, 25
1.671, 13
1.652, 8
1.300, 9
1.181, 6

(3)
La5S4NO2: theoretical powder diffraction line list (Cu Kα X-rays), based on a cell relaxed with GGA-PBE.

Crystal structure
abc: 8.1454 8.1454 16.8023
angles: 100.61 100.61 29.13
Atoms (fractional coordinates):
La 0.0167 0.0167 0.1678
La 0.0777 0.0777 0.5934
La 0.2669 0.2669 0.2066
La 0.3586 0.3586 0.5854
La 0.3754 0.3754 0.9757
La 0.6246 0.6246 0.0243
La 0.6414 0.6414 0.4146
La 0.7331 0.7331 0.7934
La 0.9223 0.9223 0.4066
La 0.9833 0.9833 0.8322
S 0.1784 0.1784 0.9000
S 0.2873 0.2873 0.4058
S 0.3422 0.3422 0.7561
S 0.4533 0.4533 0.2838
S 0.5467 0.5467 0.7162
S 0.6578 0.6578 0.2439
S 0.7127 0.7127 0.5942
S 0.8216 0.8216 0.1000
N 0.0732 0.0732 0.4506
N 0.9268 0.9268 0.5494
O 0.1383 0.1383 0.0964
O 0.4967 0.4967 0.0859
O 0.5033 0.5033 0.9141
O 0.8617 0.8617 0.9036

Peak list (12 most intense, 15° ≤ 2θ ≤ 90°, sorted by position)
d_spacing, I/Imax
3.497, 47
3.293, 100
3.272, 51
3.208, 36
2.928, 30
2.499, 34
2.476, 16
2.175, 29
2.048, 26
1.993, 14
1.740, 11
1.736, 16